The following is a computed X-ray diffraction stick pattern of K3Tm3VO8. It was derived from DFT lattice parameters and positions (PBE+U), using copper Kα.
Lines closer than 0.1° are merged.

Main lines, by angle (10 to 90 degrees two-theta):
| d/Å | 2θ/deg | Rel. int. |
| --- | --- | --- |
| 6.270 | 14.1 | 100 |
| 4.900 | 18.1 | 16 |
| 3.135 | 28.5 | 28 |
| 2.838 | 31.5 | 30 |
| 2.746 | 32.6 | 50 |
| 2.450 | 36.7 | 72 |
| 2.281 | 39.5 | 15 |
| 1.962 | 46.3 | 18 |
| 1.819 | 50.2 | 24 |
| 1.657 | 55.4 | 21 |
| 1.602 | 57.5 | 16 |
| 1.465 | 63.5 | 18 |

a b c (Å): 11.478 6.632 7.348
angles (deg): 90.00 121.42 90.00
Space group C2/m (No. 12)
Inequivalent atoms, fractional coordinates:
K1 0.000 0.000 0.000
K2 0.250 0.250 0.000
Tm1 0.000 0.500 0.500
Tm2 0.250 0.250 0.500
V1 0.000 0.000 0.500
O1 0.020 0.227 0.332
O2 0.207 0.000 0.668
O3 0.227 0.500 0.681


The following is a computed X-ray diffraction stick pattern of K4Tm3VO8. It was derived from DFT lattice parameters and positions (PBE+U), using copper Kα.
Lines closer than 0.1° are merged.

Main lines, by angle (10 to 90 degrees two-theta):
| d/Å | 2θ/deg | Rel. int. |
| --- | --- | --- |
| 6.207 | 14.3 | 100 |
| 5.549 | 16.0 | 14 |
| 3.103 | 28.8 | 38 |
| 2.865 | 31.2 | 21 |
| 2.784 | 32.1 | 25 |
| 2.770 | 32.3 | 49 |
| 2.477 | 36.3 | 36 |
| 2.460 | 36.5 | 70 |
| 1.959 | 46.4 | 13 |
| 1.817 | 50.2 | 35 |
| 1.682 | 54.6 | 21 |
| 1.566 | 59.0 | 12 |

a b c (Å): 11.681 6.682 7.318
angles (deg): 90.00 121.99 90.00
Space group C2/m (No. 12)
Inequivalent atoms, fractional coordinates:
K1 0.000 0.000 0.000
K2 0.000 0.500 0.000
K3 0.250 0.250 0.000
Tm1 0.000 0.000 0.500
Tm2 0.250 0.250 0.500
V1 0.000 0.500 0.500
O1 0.020 0.264 0.323
O2 0.227 0.000 0.684
O3 0.228 0.500 0.687